[1]
Starting from a PBE-relaxed structure, the powder X-ray diffraction pattern of Ac8Ni2Ir was calculated for Cu Kα, 1.54184 Å.
Neutral-atom scattering factors, no anomalous dispersion.

Crystal structure
```
data_Ac8Ni2Ir
_cell_length_a 15.0506
_cell_length_b 7.9789
_cell_length_c 6.9997
_cell_angle_alpha 90.00
_cell_angle_beta 103.15
_cell_angle_gamma 90.00
_symmetry_space_group_name_H-M 'C 1 2/m 1'
_symmetry_Int_Tables_number 12
loop_
_symmetry_equiv_pos_as_xyz
'x,y,z'
'-x,-y,-z'
'-x,y,-z'
'x,-y,z'
'x+1/2,y+1/2,z'
'-x+1/2,-y+1/2,-z'
'-x+1/2,y+1/2,-z'
'x+1/2,-y+1/2,z'
loop_
_atom_site_label
_atom_site_type_symbol
_atom_site_fract_x
_atom_site_fract_y
_atom_site_fract_z
_atom_site_occupancy
Ac1 Ac 0.0939 0.0000 0.3458 1
Ac2 Ac 0.1237 0.2528 0.8664 1
Ac3 Ac 0.1485 0.5000 0.3719 1
Ni1 Ni 0.2397 0.0000 0.1701 1
Ir1 Ir 0.0000 0.5000 0.0000 1
```

Most intense lines, 15 to 90 degrees two-theta, in order of rising 2θ:
h k l, 2θ (°), intensity
4 0 0, 24.3, 51
0 2 1, 25.9, 45
2 0 -2, 26.2, 59
2 2 -1, 27.3, 100
2 2 1, 29.9, 57
2 0 2, 31.4, 61
4 2 -1, 33.6, 53
4 2 1, 37.8, 34
0 2 3, 46.0, 35
2 4 2, 56.3, 30

[2]
Starting from a PBE-relaxed structure, the powder X-ray diffraction pattern of AcPrNiIr was calculated for Cu Kα, 1.54184 Å.
Neutral-atom scattering factors, no anomalous dispersion.

Crystal structure
```
data_AcPrNiIr
_cell_length_a 4.2785
_cell_length_b 4.0947
_cell_length_c 11.2711
_cell_angle_alpha 90.00
_cell_angle_beta 90.00
_cell_angle_gamma 90.00
_symmetry_space_group_name_H-M 'A m m 2'
_symmetry_Int_Tables_number 38
loop_
_symmetry_equiv_pos_as_xyz
'x,y,z'
'-x,-y,z'
'-x,y,z'
'x,-y,z'
'x,y+1/2,z+1/2'
'-x,-y+1/2,z+1/2'
'-x,y+1/2,z+1/2'
'x,-y+1/2,z+1/2'
loop_
_atom_site_label
_atom_site_type_symbol
_atom_site_fract_x
_atom_site_fract_y
_atom_site_fract_z
_atom_site_occupancy
Ac1 Ac 0.0000 0.0000 0.0000 1
Pr1 Pr 0.5000 0.0000 0.2777 1
Ni1 Ni 0.5000 0.0000 0.5708 1
Ir1 Ir 0.0000 0.0000 0.7176 1
```

Most intense lines, 15 to 90 degrees two-theta, in order of rising 2θ:
h k l, 2θ (°), intensity
1 0 0, 20.8, 17
1 1 1, 31.3, 100
0 0 4, 31.8, 30
0 1 3, 32.3, 43
1 0 4, 38.2, 28
1 1 3, 38.7, 68
2 0 0, 42.2, 27
0 2 0, 44.2, 23
2 1 3, 54.2, 20
2 1 7, 77.8, 17

[3]
Starting from a PBE-relaxed structure, the powder X-ray diffraction pattern of AcNp2Ir9 was calculated for Cu Kα, 1.54184 Å.
Neutral-atom scattering factors, no anomalous dispersion.

Crystal structure
```
data_AcNp2Ir9
_cell_length_a 5.3602
_cell_length_b 5.3602
_cell_length_c 26.3144
_cell_angle_alpha 90.00
_cell_angle_beta 90.00
_cell_angle_gamma 120.00
_symmetry_space_group_name_H-M 'R -3 m'
_symmetry_Int_Tables_number 166
_symmetry_space_group_name_Hall '-R 3 2"'
loop_
_atom_site_label
_atom_site_type_symbol
_atom_site_fract_x
_atom_site_fract_y
_atom_site_fract_z
_atom_site_occupancy
Ac1 Ac 0.0000 0.0000 0.0000 1
Np1 Np 0.0000 0.0000 0.1408 1
Ir1 Ir 0.0000 0.0000 0.3333 1
Ir2 Ir 0.0000 0.0000 0.5000 1
Ir3 Ir 0.0033 0.5016 0.9154 1
```

Most intense lines, 15 to 90 degrees two-theta, in order of rising 2θ:
h k l, 2θ (°), intensity
1 0 7, 30.6, 18
1 1 0, 33.4, 43
0 2 1, 39.0, 27
1 1 6, 39.4, 100
0 0 12, 41.2, 31
2 0 5, 42.6, 44
0 2 7, 45.9, 9
0 3 6, 63.8, 23
2 2 0, 70.2, 23
2 2 12, 84.8, 17

[4]
Starting from a PBE-relaxed structure, the powder X-ray diffraction pattern of Ac2Ir2O7 was calculated for Cu Kα, 1.54184 Å.
Neutral-atom scattering factors, no anomalous dispersion.

Crystal structure
a = 10.7667 Å, b = 10.7667 Å, c = 10.7667 Å
α = 90.00°, β = 90.00°, γ = 90.00°
Space group Fd-3m (No. 227, origin choice 2)
Inequivalent atoms, fractional coordinates:
Ac 0.0000 0.0000 0.0000 x16
Ir 0.0000 0.0000 0.5000 x16
O 0.0757 0.3750 0.8750 x48
O 0.1250 0.1250 0.1250 x8

Most intense lines, 15 to 90 degrees two-theta, in order of rising 2θ:
h k l, 2θ (°), intensity
2 2 2, 28.7, 100
4 0 0, 33.3, 40
3 3 1, 36.4, 1
4 4 0, 47.8, 44
6 2 2, 56.7, 46
4 4 4, 59.5, 12
8 0 0, 69.9, 7
6 6 2, 77.2, 19
8 4 0, 79.6, 17
8 4 4, 89.1, 14

[5]
Starting from a PBE-relaxed structure, the powder X-ray diffraction pattern of Ac2IrO7 was calculated for Cu Kα, 1.54184 Å.
Neutral-atom scattering factors, no anomalous dispersion.

Crystal structure
```
data_Ac2IrO7
_cell_length_a 6.6139
_cell_length_b 7.0579
_cell_length_c 7.0783
_cell_angle_alpha 83.60
_cell_angle_beta 63.89
_cell_angle_gamma 79.27
_symmetry_space_group_name_H-M 'P -1'
_symmetry_Int_Tables_number 2
loop_
_symmetry_equiv_pos_as_xyz
'x,y,z'
'-x,-y,-z'
loop_
_atom_site_label
_atom_site_type_symbol
_atom_site_fract_x
_atom_site_fract_y
_atom_site_fract_z
_atom_site_occupancy
Ac1 Ac 0.0140 0.2445 0.1031 1
Ac2 Ac 0.2860 0.3244 0.4480 1
Ir1 Ir 0.2487 0.7877 0.2097 1
O1 O 0.0651 0.1034 0.7640 1
O2 O 0.1418 0.7104 0.5045 1
O3 O 0.1481 0.5303 0.1997 1
O4 O 0.2780 0.0413 0.2560 1
O5 O 0.3559 0.8077 0.9156 1
O6 O 0.3607 0.4696 0.7302 1
O7 O 0.4321 0.2821 0.8109 1
```

Most intense lines, 15 to 90 degrees two-theta, in order of rising 2θ:
h k l, 2θ (°), intensity
1 0 0, 15.1, 24
1 0 -1, 24.7, 60
0 2 0, 25.7, 66
1 1 2, 27.1, 100
2 1 1, 28.1, 37
1 -1 2, 30.1, 36
1 -2 0, 31.9, 27
1 2 -1, 34.5, 30
2 -1 2, 36.2, 25
2 3 1, 43.6, 22

[6]
Starting from a PBE-relaxed structure, the powder X-ray diffraction pattern of Ac2Ir3O10 was calculated for Cu Kα, 1.54184 Å.
Neutral-atom scattering factors, no anomalous dispersion.

Crystal structure
```
data_Ac2Ir3O10
_cell_length_a 18.2593
_cell_length_b 5.9966
_cell_length_c 7.6332
_cell_angle_alpha 90.00
_cell_angle_beta 112.93
_cell_angle_gamma 90.00
_symmetry_space_group_name_H-M 'C 1 2/m 1'
_symmetry_Int_Tables_number 12
loop_
_symmetry_equiv_pos_as_xyz
'x,y,z'
'-x,-y,-z'
'-x,y,-z'
'x,-y,z'
'x+1/2,y+1/2,z'
'-x+1/2,-y+1/2,-z'
'-x+1/2,y+1/2,-z'
'x+1/2,-y+1/2,z'
loop_
_atom_site_label
_atom_site_type_symbol
_atom_site_fract_x
_atom_site_fract_y
_atom_site_fract_z
_atom_site_occupancy
Ac1 Ac 0.1152 0.0000 0.2160 1
Ac2 Ac 0.2119 0.0000 0.8180 1
Ir1 Ir 0.0000 0.2533 0.5000 1
Ir2 Ir 0.0780 0.5000 0.9734 1
Ir3 Ir 0.1771 0.5000 0.5173 1
O1 O 0.0000 0.2621 0.0000 1
O2 O 0.0219 0.0000 0.6798 1
O3 O 0.0284 0.5000 0.6977 1
O4 O 0.1121 0.2382 0.5228 1
O5 O 0.1251 0.5000 0.2444 1
O6 O 0.1556 0.2612 0.9875 1
O7 O 0.2318 0.5000 0.7797 1
O8 O 0.2500 0.2500 0.5000 1
```

Most intense lines, 15 to 90 degrees two-theta, in order of rising 2θ:
h k l, 2θ (°), intensity
3 1 1, 28.1, 100
3 1 -2, 28.4, 58
4 0 1, 28.7, 18
6 0 -1, 29.4, 65
0 2 0, 29.8, 24
2 2 0, 31.7, 25
6 2 -1, 42.3, 30
3 3 1, 51.9, 20
0 0 4, 52.0, 20
2 2 3, 54.0, 21

[7]
Starting from a PBE-relaxed structure, the powder X-ray diffraction pattern of Ac2IrO was calculated for Cu Kα, 1.54184 Å.
Neutral-atom scattering factors, no anomalous dispersion.

Crystal structure
```
data_Ac2IrO
_cell_length_a 4.2664
_cell_length_b 5.7356
_cell_length_c 4.3089
_cell_angle_alpha 90.00
_cell_angle_beta 90.00
_cell_angle_gamma 90.00
_symmetry_space_group_name_H-M 'P m m 2'
_symmetry_Int_Tables_number 25
loop_
_symmetry_equiv_pos_as_xyz
'x,y,z'
'-x,-y,z'
'-x,y,z'
'x,-y,z'
loop_
_atom_site_label
_atom_site_type_symbol
_atom_site_fract_x
_atom_site_fract_y
_atom_site_fract_z
_atom_site_occupancy
Ac1 Ac 0.0000 0.0000 0.0000 1
Ac2 Ac 0.5000 0.5000 0.3792 1
Ir1 Ir 0.0000 0.5000 0.8691 1
O1 O 0.5000 0.0000 0.2820 1
```

Most intense lines, 15 to 90 degrees two-theta, in order of rising 2θ:
h k l, 2θ (°), intensity
0 1 0, 15.4, 19
0 1 1, 25.9, 24
1 1 0, 26.0, 21
1 0 1, 29.5, 100
0 2 0, 31.2, 51
1 1 1, 33.4, 32
2 0 0, 42.4, 22
1 2 1, 43.4, 71
0 1 2, 44.9, 19
2 2 0, 53.5, 23

[8]
Starting from a PBE-relaxed structure, the powder X-ray diffraction pattern of Ac3IrO7 was calculated for Cu Kα, 1.54184 Å.
Neutral-atom scattering factors, no anomalous dispersion.

Crystal structure
```
data_Ac3IrO7
_cell_length_a 11.6307
_cell_length_b 7.7176
_cell_length_c 7.8730
_cell_angle_alpha 90.00
_cell_angle_beta 90.00
_cell_angle_gamma 90.00
_symmetry_space_group_name_H-M 'C m c m'
_symmetry_Int_Tables_number 63
_symmetry_space_group_name_Hall '-C 2c 2'
loop_
_atom_site_label
_atom_site_type_symbol
_atom_site_fract_x
_atom_site_fract_y
_atom_site_fract_z
_atom_site_occupancy
Ac1 Ac 0.0000 0.0000 0.0000 1
Ac2 Ac 0.2190 0.3174 0.2500 1
Ir1 Ir 0.0000 0.5000 0.0000 1
O1 O 0.0000 0.4196 0.2500 1
O2 O 0.1223 0.3210 0.5404 1
O3 O 0.1301 0.0327 0.2500 1
```

Most intense lines, 15 to 90 degrees two-theta, in order of rising 2θ:
h k l, 2θ (°), intensity
0 2 1, 25.7, 20
2 0 2, 27.4, 100
2 2 0, 27.7, 70
2 2 1, 30.0, 21
4 0 0, 30.7, 23
0 2 2, 32.5, 39
5 1 1, 42.2, 15
4 2 2, 45.3, 36
0 0 4, 46.1, 17
2 2 4, 54.7, 22

[9]
Starting from a PBE-relaxed structure, the powder X-ray diffraction pattern of AcSiIrO6 was calculated for Cu Kα, 1.54184 Å.
Neutral-atom scattering factors, no anomalous dispersion.

Crystal structure
```
data_AcSiIrO6
_cell_length_a 5.0786
_cell_length_b 5.0786
_cell_length_c 5.3604
_cell_angle_alpha 90.00
_cell_angle_beta 90.00
_cell_angle_gamma 120.00
_symmetry_space_group_name_H-M 'P 3 1 2'
_symmetry_Int_Tables_number 149
loop_
_symmetry_equiv_pos_as_xyz
'x,y,z'
'-y,x-y,z'
'-x+y,-x,z'
'-y,-x,-z'
'-x+y,y,-z'
'x,x-y,-z'
loop_
_atom_site_label
_atom_site_type_symbol
_atom_site_fract_x
_atom_site_fract_y
_atom_site_fract_z
_atom_site_occupancy
Ac1 Ac 0.0000 0.0000 0.0000 1
Si1 Si 0.6667 0.3333 0.5000 1
Ir1 Ir 0.3333 0.6667 0.5000 1
O1 O 0.3916 0.0262 0.3065 1
```

Most intense lines, 15 to 90 degrees two-theta, in order of rising 2θ:
h k l, 2θ (°), intensity
1 0 0, 20.2, 18
1 0 1, 26.2, 100
1 1 0, 35.3, 27
1 0 2, 39.4, 10
2 0 1, 44.5, 23
1 1 2, 49.4, 31
1 0 3, 55.5, 12
2 1 1, 58.1, 23
3 -1 3, 78.6, 9
4 -1 1, 80.8, 9

[10]
Starting from a PBE-relaxed structure, the powder X-ray diffraction pattern of Ac8Te4Ir3O was calculated for Cu Kα, 1.54184 Å.
Neutral-atom scattering factors, no anomalous dispersion.

Crystal structure
```
data_Ac8Te4Ir3O
_cell_length_a 15.1588
_cell_length_b 8.7420
_cell_length_c 9.3816
_cell_angle_alpha 90.00
_cell_angle_beta 122.56
_cell_angle_gamma 90.00
_symmetry_space_group_name_H-M 'C 1 2/m 1'
_symmetry_Int_Tables_number 12
loop_
_symmetry_equiv_pos_as_xyz
'x,y,z'
'-x,-y,-z'
'-x,y,-z'
'x,-y,z'
'x+1/2,y+1/2,z'
'-x+1/2,-y+1/2,-z'
'-x+1/2,y+1/2,-z'
'x+1/2,-y+1/2,z'
loop_
_atom_site_label
_atom_site_type_symbol
_atom_site_fract_x
_atom_site_fract_y
_atom_site_fract_z
_atom_site_occupancy
Ac1 Ac 0.0140 0.2459 0.2964 1
Ac2 Ac 0.2331 0.0000 0.7047 1
Ac3 Ac 0.2365 0.5000 0.7094 1
Te1 Te 0.0000 0.0000 0.0000 1
Te2 Te 0.0000 0.5000 0.0000 1
Te3 Te 0.2500 0.2500 0.0000 1
Ir1 Ir 0.0000 0.5000 0.5000 1
Ir2 Ir 0.2500 0.2500 0.5000 1
O1 O 0.0000 0.0000 0.5000 1
```

Most intense lines, 15 to 90 degrees two-theta, in order of rising 2θ:
h k l, 2θ (°), intensity
2 2 0, 24.7, 8
4 0 0, 28.0, 100
2 2 -3, 35.5, 10
2 2 2, 38.6, 33
0 4 0, 41.3, 39
4 0 -5, 48.6, 8
4 4 0, 50.6, 20
8 0 0, 57.8, 10
10 2 -2, 67.3, 17
8 4 0, 73.5, 10

[11]
Starting from a PBE-relaxed structure, the powder X-ray diffraction pattern of Ac5Tl2IrO was calculated for Cu Kα, 1.54184 Å.
Neutral-atom scattering factors, no anomalous dispersion.

Crystal structure
```
data_Ac5Tl2IrO
_cell_length_a 4.3255
_cell_length_b 19.9457
_cell_length_c 14.6765
_cell_angle_alpha 90.00
_cell_angle_beta 90.00
_cell_angle_gamma 90.00
_symmetry_space_group_name_H-M 'C m c 21'
_symmetry_Int_Tables_number 36
loop_
_symmetry_equiv_pos_as_xyz
'x,y,z'
'-x,-y,z+1/2'
'-x,y,z'
'x,-y,z+1/2'
'x+1/2,y+1/2,z'
'-x+1/2,-y+1/2,z+1/2'
'-x+1/2,y+1/2,z'
'x+1/2,-y+1/2,z+1/2'
loop_
_atom_site_label
_atom_site_type_symbol
_atom_site_fract_x
_atom_site_fract_y
_atom_site_fract_z
_atom_site_occupancy
Ac1 Ac 0.0000 0.0033 0.0000 1
Ac2 Ac 0.0000 0.1596 0.2294 1
Ac3 Ac 0.0000 0.1810 0.6025 1
Ac4 Ac 0.0000 0.2031 0.8802 1
Ac5 Ac 0.0000 0.4604 0.2271 1
Tl1 Tl 0.0000 0.3665 0.5476 1
Tl2 Tl 0.0000 0.3834 0.9107 1
Ir1 Ir 0.0000 0.3064 0.2410 1
O1 O 0.0000 0.0472 0.6481 1
```

Most intense lines, 15 to 90 degrees two-theta, in order of rising 2θ:
h k l, 2θ (°), intensity
0 4 3, 25.5, 16
0 6 0, 26.8, 15
0 6 1, 27.5, 62
1 1 3, 27.9, 100
1 5 0, 30.5, 18
1 5 2, 32.9, 26
2 0 0, 41.8, 23
1 7 4, 45.4, 15
1 7 5, 49.3, 21
2 6 1, 50.7, 12

[12]
Starting from a PBE-relaxed structure, the powder X-ray diffraction pattern of AcTlIrO6 was calculated for Cu Kα, 1.54184 Å.
Neutral-atom scattering factors, no anomalous dispersion.

Crystal structure
```
data_AcTlIrO6
_cell_length_a 6.0480
_cell_length_b 6.0480
_cell_length_c 8.2979
_cell_angle_alpha 90.00
_cell_angle_beta 90.00
_cell_angle_gamma 120.00
_symmetry_space_group_name_H-M 'P -3 1 c'
_symmetry_Int_Tables_number 163
_symmetry_space_group_name_Hall '-P 3 2c'
loop_
_atom_site_label
_atom_site_type_symbol
_atom_site_fract_x
_atom_site_fract_y
_atom_site_fract_z
_atom_site_occupancy
Ac1 Ac 0.3333 0.6667 0.2500 1
Tl1 Tl 0.0000 0.0000 0.0000 1
Ir1 Ir 0.3333 0.6667 0.7500 1
O1 O 0.0670 0.3998 0.6198 1
```

Most intense lines, 15 to 90 degrees two-theta, in order of rising 2θ:
h k l, 2θ (°), intensity
1 0 2, 27.4, 100
1 1 0, 29.5, 82
1 1 2, 36.8, 15
2 0 2, 40.7, 36
2 1 2, 51.1, 38
3 0 0, 52.4, 23
2 -1 4, 53.6, 41
4 -1 2, 68.4, 16
3 0 4, 70.5, 22
2 2 4, 78.2, 19